CsTe2AsO8: theoretical powder diffractogram (Cu Kα, 1.54184 Å), based on DFT lattice parameters and positions (GGA-PBE).
Kinematic intensities with the Lorentz-polarization factor, no thermal factor.

Crystal structure
```
CsTe2AsO8
1.0
4.673 -2.926 0.000
4.673 2.926 0.000
-2.864 0.000 9.184
Cs Te As O
1 2 1 8
Direct
0.000 0.000 0.000
0.204 0.204 0.685
0.796 0.796 0.315
0.500 0.500 0.500
0.176 0.671 0.333
0.291 0.291 0.534
0.329 0.824 0.667
0.333 0.333 0.869
0.667 0.667 0.131
0.671 0.176 0.333
0.709 0.709 0.466
0.824 0.329 0.667
```

Peak list (10 most intense, 2θ from 10° to 90°, low angle first)
2θ 21.93, d 4.053, I = 100
2θ 23.30, d 3.818, I = 54
2θ 24.65, d 3.612, I = 16
2θ 29.17, d 3.061, I = 12
2θ 30.55, d 2.926, I = 25
2θ 31.85, d 2.810, I = 26
2θ 32.57, d 2.749, I = 38
2θ 38.77, d 2.322, I = 22
2θ 49.46, d 1.843, I = 11
2θ 53.51, d 1.712, I = 12


Li2TlIr: theoretical powder diffractogram (Cu Kα, 1.54184 Å), based on DFT lattice parameters and positions (GGA-PBE).
Kinematic intensities with the Lorentz-polarization factor, no thermal factor.

Crystal structure
```
Li2TlIr
1.0
2.914 0.000 0.000
0.000 4.053 0.000
-0.293 0.000 5.533
Li Tl Ir
2 1 1
Direct
0.004 0.000 0.291
0.996 0.000 0.709
0.500 0.500 0.000
0.500 0.500 0.500
```

Peak list (10 most intense, 2θ from 10° to 90°, low angle first)
2θ 21.93, d 4.053, I = 100
2θ 30.72, d 2.910, I = 44
2θ 32.36, d 2.767, I = 38
2θ 38.07, d 2.364, I = 55
2θ 39.44, d 2.285, I = 50
2θ 43.95, d 2.060, I = 18
2θ 44.72, d 2.026, I = 18
2θ 49.64, d 1.837, I = 24
2θ 51.95, d 1.760, I = 21
2θ 55.24, d 1.663, I = 17


LiTl2Sn2Se4: theoretical powder diffractogram (Cu Kα, 1.54184 Å), based on DFT lattice parameters and positions (GGA-PBE).
Kinematic intensities with the Lorentz-polarization factor, no thermal factor.

Crystal structure
```
LiTl2Sn2Se4
1.0
8.641 -1.971 0.000
8.641 1.971 0.000
-3.951 0.000 7.438
Li Tl Sn Se
1 2 2 4
Direct
0.000 0.000 0.000
0.105 0.105 0.678
0.895 0.895 0.322
0.311 0.311 0.669
0.689 0.689 0.331
0.185 0.185 0.111
0.472 0.472 0.721
0.528 0.528 0.279
0.815 0.815 0.889
```

Peak list (10 most intense, 2θ from 10° to 90°, low angle first)
2θ 11.90, d 7.438, I = 49
2θ 23.93, d 3.719, I = 68
2θ 24.94, d 3.570, I = 65
2θ 27.49, d 3.245, I = 46
2θ 27.68, d 3.223, I = 91
2θ 31.36, d 2.852, I = 100
2θ 31.56, d 2.835, I = 87
2θ 35.63, d 2.520, I = 56
2θ 37.26, d 2.413, I = 60
2θ 41.41, d 2.180, I = 67